For ThTeAs, a PBE-relaxed structure gives the calculated powder XRD pattern in this record (λ = 1.5418 Å (Cu Kα)).
Intensities are scaled so that the largest is 100.

Atomic structure:
Unit cell a=4.3215 b=4.3215 c=8.9086 alpha=90.00 beta=90.00 gamma=90.00
Fractional positions:
Th1 0.2500 0.2500 0.2413
Th2 0.7500 0.7500 0.7587
Te1 0.2500 0.2500 0.6281
Te2 0.7500 0.7500 0.3719
As1 0.2500 0.7500 0.0000
As2 0.7500 0.2500 0.0000

Main lines, low angle first (10° ≤ 2θ ≤ 90°):
(1 0 1), 2θ = 22.87°, I 57
(1 0 2), 2θ = 28.78°, I 42
(1 1 0), 2θ = 29.23°, I 66
(1 1 1), 2θ = 30.94°, I 36
(1 1 2), 2θ = 35.63°, I 100
(1 0 3), 2θ = 36.72°, I 91
(2 0 0), 2θ = 41.81°, I 63
(1 0 5), 2θ = 55.81°, I 29
(2 1 3), 2θ = 56.84°, I 53
(2 1 5), 2θ = 72.10°, I 27